Entry 1:
Starting from the GGA-PBE geometry in the Materials Project, the powder diffraction line list of Ca3SnN was computed for Cu Ka.
Peak positions follow from Bragg's law for the DFT cell and can differ from measured ones.

Structural model:
Cell lengths 5.8970, 5.8970, 5.8970 Å; angles 90.00, 90.00, 90.00 degrees
Fractional positions:
Ca1 0.0000 0.0000 0.5000
Ca2 0.0000 0.5000 0.0000
Ca3 0.5000 0.0000 0.0000
Sn1 0.0000 0.0000 0.0000
N1 0.5000 0.5000 0.5000

Main lines, in order of rising 2θ (15° ≤ 2θ ≤ 90°):
Position (°2θ)  d [Å]  intensity
15.02  5.897  1000
21.31  4.170  339
30.31  2.948  583
33.99  2.637  558
43.40  2.085  417
46.18  1.966  301

Entry 2:
Starting from the GGA-PBE geometry in the Materials Project, the powder diffraction line list of PAuS was computed for Cu Ka.
Peak positions follow from Bragg's law for the DFT cell and can differ from measured ones.

Structural model:
Cell lengths 5.6583, 5.6987, 16.6385 Å; angles 90.00, 90.00, 90.00 degrees
Fractional positions:
P1 0.1009 0.0744 0.1706
P2 0.1009 0.4256 0.6706
P3 0.3991 0.5744 0.1706
P4 0.3991 0.9256 0.6706
P5 0.6009 0.0744 0.3294
P6 0.6009 0.4256 0.8294
P7 0.8991 0.5744 0.3294
P8 0.8991 0.9256 0.8294
Au1 0.0072 0.6814 0.1286
Au2 0.0072 0.8186 0.6286
Au3 0.4928 0.1814 0.1286
Au4 0.4928 0.3186 0.6286
Au5 0.5072 0.6814 0.3714
Au6 0.5072 0.8186 0.8714
Au7 0.9928 0.1814 0.3714
Au8 0.9928 0.3186 0.8714
S1 0.0977 0.7195 0.9122
S2 0.0977 0.7805 0.4122
S3 0.4023 0.2195 0.9122
S4 0.4023 0.2805 0.4122
S5 0.5977 0.7195 0.5878
S6 0.5977 0.7805 0.0878
S7 0.9023 0.2195 0.5878
S8 0.9023 0.2805 0.0878

Main lines, in order of rising 2θ (15° ≤ 2θ ≤ 90°):
Position (°2θ)  d [Å]  intensity
21.36  4.160  910
24.62  3.616  1000
31.63  2.829  307
38.48  2.339  329
39.49  2.282  442
52.26  1.750  230

Entry 3:
Starting from the GGA-PBE geometry in the Materials Project, the powder diffraction line list of Ba2NdPaO6 was computed for Cu Ka.
Peak positions follow from Bragg's law for the DFT cell and can differ from measured ones.

Structural model:
Cell lengths 6.3903, 6.3903, 6.3903 Å; angles 60.00, 60.00, 60.00 degrees
Fractional positions:
Ba1 0.2500 0.2500 0.2500
Ba2 0.7500 0.7500 0.7500
Nd1 0.0000 0.0000 0.0000
Pa1 0.5000 0.5000 0.5000
O1 0.2587 0.2587 0.7413
O2 0.2587 0.7413 0.2587
O3 0.2587 0.7413 0.7413
O4 0.7413 0.2587 0.2587
O5 0.7413 0.2587 0.7413
O6 0.7413 0.7413 0.2587

Main lines, in order of rising 2θ (15° ≤ 2θ ≤ 90°):
Position (°2θ)  d [Å]  intensity
27.92  3.195  1000
39.90  2.259  286
49.40  1.845  426
57.70  1.598  188
65.30  1.429  190
79.34  1.208  223

Entry 4:
Starting from the GGA-PBE geometry in the Materials Project, the powder diffraction line list of Dy3Mg2WS8 was computed for Cu Ka.
Peak positions follow from Bragg's law for the DFT cell and can differ from measured ones.

Structural model:
Cell lengths 7.6771, 7.6771, 7.6771 Å; angles 61.38, 61.38, 61.38 degrees
Fractional positions:
Dy1 0.0000 0.5000 0.5000
Dy2 0.5000 0.0000 0.5000
Dy3 0.5000 0.5000 0.0000
Mg1 0.1251 0.1251 0.1251
Mg2 0.8749 0.8749 0.8749
W1 0.5000 0.5000 0.5000
S1 0.2549 0.2549 0.2549
S2 0.2674 0.2674 0.7321
S3 0.2674 0.7321 0.2674
S4 0.2679 0.7326 0.7326
S5 0.7321 0.2674 0.2674
S6 0.7326 0.2679 0.7326
S7 0.7326 0.7326 0.2679
S8 0.7451 0.7451 0.7451

Main lines, in order of rising 2θ (15° ≤ 2θ ≤ 90°):
Position (°2θ)  d [Å]  intensity
26.91  3.313  578
27.33  3.263  303
27.99  3.188  300
32.66  2.741  1000
46.34  1.959  453
47.39  1.918  423

Entry 5:
Starting from the GGA-PBE geometry in the Materials Project, the powder diffraction line list of Er4In5S13 was computed for Cu Ka.
Peak positions follow from Bragg's law for the DFT cell and can differ from measured ones.

Structural model:
Cell lengths 11.8474, 21.4972, 3.8473 Å; angles 90.00, 90.00, 90.00 degrees
Fractional positions:
Er1 0.0147 0.1719 0.0000
Er2 0.1720 0.3403 0.0000
Er3 0.3280 0.8403 0.0000
Er4 0.4853 0.6719 0.0000
Er5 0.5147 0.3281 0.0000
Er6 0.6720 0.1597 0.0000
Er7 0.8280 0.6597 0.0000
Er8 0.9853 0.8281 0.0000
In1 0.0000 0.5000 0.0000
In2 0.1550 0.9931 0.5000
In3 0.1558 0.6711 0.5000
In4 0.3442 0.1711 0.5000
In5 0.3450 0.4931 0.5000
In6 0.5000 0.0000 0.0000
In7 0.6550 0.5069 0.5000
In8 0.6558 0.8289 0.5000
In9 0.8442 0.3289 0.5000
In10 0.8450 0.0069 0.5000
S1 0.0000 0.0000 0.0000
S2 0.0065 0.4046 0.5000
S3 0.0795 0.2610 0.5000
S4 0.1516 0.8652 0.5000
S5 0.1546 0.1160 0.5000
S6 0.1676 0.7437 0.0000
S7 0.2031 0.4724 0.0000
S8 0.2969 0.9724 0.0000
S9 0.3324 0.2437 0.0000
S10 0.3454 0.6160 0.5000
S11 0.3484 0.3652 0.5000
S12 0.4205 0.7610 0.5000
S13 0.4935 0.9046 0.5000
S14 0.5000 0.5000 0.0000
S15 0.5065 0.0954 0.5000
S16 0.5795 0.2390 0.5000
S17 0.6516 0.6348 0.5000
S18 0.6546 0.3840 0.5000
S19 0.6676 0.7563 0.0000
S20 0.7031 0.0276 0.0000
S21 0.7969 0.5276 0.0000
S22 0.8324 0.2563 0.0000
S23 0.8454 0.8840 0.5000
S24 0.8484 0.1348 0.5000
S25 0.9205 0.7390 0.5000
S26 0.9935 0.5954 0.5000

Main lines, in order of rising 2θ (15° ≤ 2θ ≤ 90°):
Position (°2θ)  d [Å]  intensity
24.85  3.583  476
25.75  3.460  1000
27.37  3.259  316
32.76  2.734  261
40.56  2.224  212
44.32  2.044  251